Entry 1:
This entry pairs a crystal structure of YMgCo with its calculated powder XRD pattern. Radiation: Cu Kα (λ = 1.5418 Å). Structure: DFT lattice parameters and positions (GGA-PBE).
Peak positions follow from Bragg's law for the DFT cell and can differ from measured ones.

Structure:
```
YMgCo
1.0
1.964 -8.562 0.000
1.964 8.562 0.000
0.000 0.000 3.831
Y Mg Co
2 2 2
Cartesian
1.964 7.039 2.873
1.964 -7.039 0.958
1.964 3.463 2.873
1.964 -3.463 0.958
1.964 0.612 2.873
1.964 -0.612 0.958
```

Peak list (10 most intense, 2θ from 10° to 90°, by angle)
2θ/deg	d/Å	intensity
10.3	8.562	100
33.1	2.708	34
34.7	2.582	38
36.3	2.472	45
39.4	2.289	15
42.2	2.141	20
46.2	1.964	14
47.5	1.915	17
48.7	1.869	17
60.1	1.538	15



Entry 2:
This entry pairs a crystal structure of MgZr3Co8 with its calculated powder XRD pattern. Radiation: Cu Kα (λ = 1.5418 Å). Structure: DFT lattice parameters and positions (GGA-PBE).
Peak positions follow from Bragg's law for the DFT cell and can differ from measured ones.

Structure:
```
MgZr3Co8
1.0
2.436 1.406 7.967
-2.436 1.406 7.967
0.000 -2.813 7.967
Mg Zr Co
1 3 8
Cartesian
0.000 0.000 0.000
0.000 0.000 2.923
0.000 0.000 12.031
0.000 0.000 15.070
0.000 -1.409 5.515
-1.221 0.705 5.515
-1.210 -0.699 9.505
0.000 0.000 7.517
1.210 -0.699 9.505
0.000 1.397 9.505
1.221 0.705 5.515
0.000 0.000 19.462
```

Peak list (10 most intense, 2θ from 10° to 90°, by angle)
2θ/deg	d/Å	intensity
11.1	7.967	4
21.4	4.155	3
22.3	3.980	3
36.9	2.437	35
43.5	2.078	100
45.6	1.990	34
66.4	1.407	8
71.0	1.327	18
71.1	1.326	10
78.5	1.219	23



Entry 3:
This entry pairs a crystal structure of Mn5Co4 with its calculated powder XRD pattern. Radiation: Cu Kα (λ = 1.5418 Å). Structure: DFT lattice parameters and positions (GGA-PBE).
Peak positions follow from Bragg's law for the DFT cell and can differ from measured ones.

Structure:
```
Mn5Co4
1.0
-3.703 3.703 1.740
3.703 -3.703 1.740
3.703 3.703 -1.740
Mn Co
5 4
Cartesian
0.000 0.000 0.000
2.476 2.476 0.000
1.227 -1.227 1.740
-1.227 1.227 1.740
1.227 1.227 1.740
2.455 0.000 0.000
4.950 0.000 0.000
0.000 2.455 0.000
0.000 4.950 0.000
```

Peak list (5 most intense, 2θ from 10° to 90°, by angle)
2θ/deg	d/Å	intensity
45.0	2.014	100
52.4	1.746	31
52.6	1.740	15
77.3	1.234	9
77.4	1.232	17



Entry 4:
This entry pairs a crystal structure of Mn3Co5 with its calculated powder XRD pattern. Radiation: Cu Kα (λ = 1.5418 Å). Structure: DFT lattice parameters and positions (GGA-PBE).
Peak positions follow from Bragg's law for the DFT cell and can differ from measured ones.

Structure:
```
Mn3Co5
1.0
-4.582 4.582 2.248
4.582 -4.582 2.248
4.582 4.582 -2.248
Mn Co
6 10
Cartesian
0.000 0.000 0.000
2.939 -1.643 1.124
6.225 1.643 1.124
0.000 0.000 2.248
1.643 2.939 1.124
-1.643 6.225 1.124
4.582 0.000 0.000
5.189 2.422 -1.129
2.422 3.974 -1.129
2.160 0.608 1.119
-0.608 2.160 1.119
0.000 4.582 0.000
3.974 2.422 1.129
2.160 -0.608 3.377
2.422 5.189 1.129
0.608 2.160 3.377
```

Peak list (10 most intense, 2θ from 10° to 90°, by angle)
2θ/deg	d/Å	intensity
39.3	2.291	27
40.1	2.248	19
40.8	2.212	19
44.2	2.049	47
44.9	2.018	47
45.5	1.992	100
49.3	1.847	38
76.7	1.243	19
87.9	1.111	15
88.4	1.106	11



Entry 5:
This entry pairs a crystal structure of Mn5Co6 with its calculated powder XRD pattern. Radiation: Cu Kα (λ = 1.5418 Å). Structure: DFT lattice parameters and positions (GGA-PBE).
Peak positions follow from Bragg's law for the DFT cell and can differ from measured ones.

Structure:
```
Mn5Co6
1.0
1.982 -5.942 0.000
1.982 5.942 0.000
0.000 0.000 5.574
Mn Co
5 6
Cartesian
0.000 0.000 0.000
1.982 1.974 0.000
1.982 1.961 2.787
1.982 -1.961 2.787
1.982 -1.974 0.000
1.982 3.978 1.407
1.982 3.978 4.167
1.982 0.000 1.415
1.982 0.000 4.159
1.982 -3.978 1.407
1.982 -3.978 4.167
```

Peak list (10 most intense, 2θ from 10° to 90°, by angle)
2θ/deg	d/Å	intensity
14.9	5.942	3
21.9	4.065	3
28.6	3.117	3
31.9	2.802	3
45.8	1.981	50
45.9	1.976	100
66.8	1.401	15
67.2	1.393	7
84.8	1.143	29
85.1	1.140	14



Entry 6:
This entry pairs a crystal structure of Mn13Co2 with its calculated powder XRD pattern. Radiation: Cu Kα (λ = 1.5418 Å). Structure: DFT lattice parameters and positions (GGA-PBE).
Peak positions follow from Bragg's law for the DFT cell and can differ from measured ones.

Structure:
```
Mn13Co2
1.0
4.205 2.428 3.484
-4.205 2.428 3.484
0.000 -4.856 3.484
Mn Co
13 2
Cartesian
0.000 0.000 0.000
-1.283 -0.741 3.999
-2.380 -1.374 5.951
0.000 -2.748 4.502
-2.380 1.374 4.502
1.283 -0.741 3.999
0.000 1.481 3.999
0.000 -1.481 6.454
-1.283 0.741 6.454
2.380 -1.374 5.951
0.000 2.748 5.951
2.380 1.374 4.502
1.283 0.741 6.454
0.000 0.000 2.261
0.000 0.000 8.192
```

Peak list (10 most intense, 2θ from 10° to 90°, by angle)
2θ/deg	d/Å	intensity
21.1	4.205	39
25.9	3.439	86
29.9	2.988	49
42.6	2.123	71
43.0	2.103	55
45.5	1.992	100
45.7	1.983	75
50.3	1.813	28
53.3	1.720	53
62.1	1.494	35



Entry 7:
This entry pairs a crystal structure of Mn4Co3 with its calculated powder XRD pattern. Radiation: Cu Kα (λ = 1.5418 Å). Structure: DFT lattice parameters and positions (GGA-PBE).
Peak positions follow from Bragg's law for the DFT cell and can differ from measured ones.

Structure:
```
Mn4Co3
1.0
-1.389 1.389 10.258
1.389 -1.389 10.258
1.389 1.389 -10.258
Mn Co
4 3
Cartesian
0.000 0.000 1.469
0.000 0.000 7.328
0.000 0.000 13.187
0.000 0.000 19.046
0.000 0.000 4.386
0.000 0.000 10.258
0.000 0.000 16.129
```

Peak list (6 most intense, 2θ from 10° to 90°, by angle)
2θ/deg	d/Å	intensity
45.0	2.016	100
46.2	1.965	46
63.5	1.465	8
67.4	1.389	13
82.0	1.175	15
84.7	1.144	27



Entry 8:
This entry pairs a crystal structure of MnCoMo2 with its calculated powder XRD pattern. Radiation: Cu Kα (λ = 1.5418 Å). Structure: DFT lattice parameters and positions (GGA-PBE).
Peak positions follow from Bragg's law for the DFT cell and can differ from measured ones.

Structure:
```
MnCoMo2
1.0
-1.582 2.085 4.204
1.582 -2.085 4.204
1.582 2.085 -4.204
Mn Co Mo
1 1 2
Cartesian
0.000 0.000 0.000
0.000 0.000 4.204
1.582 0.000 2.096
0.000 2.085 2.108
```

Peak list (10 most intense, 2θ from 10° to 90°, by angle)
2θ/deg	d/Å	intensity
21.1	4.204	9
41.8	2.162	100
43.0	2.102	23
43.4	2.085	22
58.3	1.582	9
62.8	1.480	15
75.2	1.264	8
75.4	1.260	8
78.0	1.225	15
78.5	1.218	15



Entry 9:
This entry pairs a crystal structure of Mn3Co8N8 with its calculated powder XRD pattern. Radiation: Cu Kα (λ = 1.5418 Å). Structure: DFT lattice parameters and positions (GGA-PBE).
Peak positions follow from Bragg's law for the DFT cell and can differ from measured ones.

Structure:
```
Mn3Co8N8
1.0
7.510 -1.917 0.000
7.510 1.917 0.000
-2.014 0.000 6.001
Mn Co N
3 8 8
Cartesian
0.000 0.000 0.000
3.446 0.000 1.966
9.559 0.000 4.036
0.480 0.000 2.873
0.688 0.000 5.562
3.618 0.000 4.990
6.822 0.000 1.753
6.183 0.000 4.249
9.388 0.000 1.011
12.318 0.000 0.439
12.525 0.000 3.128
-0.853 0.000 4.362
1.687 0.000 1.266
4.444 0.000 0.489
4.620 0.000 3.347
8.385 0.000 2.655
8.561 0.000 5.513
11.319 0.000 4.735
13.858 0.000 1.639
```

Peak list (10 most intense, 2θ from 10° to 90°, by angle)
2θ/deg	d/Å	intensity
22.2	4.004	13
38.4	2.345	91
39.4	2.286	13
40.2	2.242	100
44.3	2.044	56
45.3	2.000	47
47.4	1.917	61
66.9	1.398	28
67.7	1.384	25
82.2	1.173	15



Entry 10:
This entry pairs a crystal structure of Mn10Co6N with its calculated powder XRD pattern. Radiation: Cu Kα (λ = 1.5418 Å). Structure: DFT lattice parameters and positions (GGA-PBE).
Peak positions follow from Bragg's law for the DFT cell and can differ from measured ones.

Structure:
```
Mn10Co6N
1.0
6.951 0.000 0.000
-3.475 6.020 0.000
0.000 0.000 4.589
Mn Co N
10 6 1
Cartesian
-0.815 1.412 1.136
-2.660 4.607 3.453
1.631 0.000 1.136
0.815 1.412 3.453
0.000 4.013 0.000
0.000 4.013 2.295
3.475 2.007 0.000
3.475 2.007 2.295
5.320 0.000 3.453
2.660 4.607 1.136
-1.417 2.454 3.394
-2.059 3.566 1.195
2.833 0.000 3.394
1.417 2.454 1.195
4.117 0.000 1.195
2.059 3.566 3.394
0.000 0.000 0.000
```

Peak list (10 most intense, 2θ from 10° to 90°, by angle)
2θ/deg	d/Å	intensity
39.3	2.295	16
39.6	2.275	30
44.4	2.038	100
45.2	2.007	29
47.5	1.915	57
50.0	1.825	10
58.9	1.569	14
67.6	1.385	9
74.8	1.269	18
86.7	1.123	8



Entry 11:
This entry pairs a crystal structure of MnNb2CoN with its calculated powder XRD pattern. Radiation: Cu Kα (λ = 1.5418 Å). Structure: DFT lattice parameters and positions (GGA-PBE).
Peak positions follow from Bragg's law for the DFT cell and can differ from measured ones.

Structure:
```
MnNb2CoN
1.0
4.247 0.000 0.000
0.000 4.247 0.000
0.000 0.000 3.703
Mn Nb Co N
1 2 1 1
Cartesian
0.000 0.000 0.000
0.000 2.124 1.851
2.124 0.000 1.851
2.124 2.124 0.000
0.000 0.000 1.851
```

Peak list (10 most intense, 2θ from 10° to 90°, by angle)
2θ/deg	d/Å	intensity
24.0	3.703	8
38.6	2.332	100
42.6	2.124	44
49.2	1.851	14
49.5	1.842	4
61.8	1.502	14
67.1	1.395	21
75.3	1.263	26
82.8	1.166	11
85.0	1.142	9